[1]
This entry pairs a crystal structure of La5TbY4 with its simulated powder XRD pattern. Radiation: Cu Kα X-rays. Structure: the PBE geometry in Alexandria.
Neutral-atom scattering factors, no anomalous dispersion.

Structural model:
```
data_La5TbY4
_symmetry_space_group_name_H-M 'P 1'
_symmetry_Int_Tables_number 1
_cell_length_a 3.576
_cell_length_b 9.427
_cell_length_c 11.171
_cell_angle_alpha 75.87
_cell_angle_beta 89.95
_cell_angle_gamma 79.09
loop_
_symmetry_equiv_pos_as_xyz
'x,y,z'
loop_
_atom_site_label
_atom_site_fract_x
_atom_site_fract_y
_atom_site_fract_z
_atom_site_occupancy
La1 0.000 0.000 0.000 1
La2 0.332 0.339 0.967 1
La3 0.340 0.320 0.595 1
La4 0.660 0.680 0.405 1
La5 0.668 0.661 0.033 1
Tb1 0.000 0.000 0.500 1
Y1 0.176 0.647 0.715 1
Y2 0.473 0.054 0.241 1
Y3 0.527 0.946 0.759 1
Y4 0.824 0.353 0.285 1
```

Principal peaks in the range 5 to 70 degrees two-theta, by intensity:
31.63 deg, I = 100.0; 29.90 deg, I = 70.1; 35.42 deg, I = 64.3; 28.89 deg, I = 42.1; 29.10 deg, I = 31.2; 27.62 deg, I = 24.5

[2]
This entry pairs a crystal structure of LaTb5Y6 with its simulated powder XRD pattern. Radiation: Cu Kα X-rays. Structure: the PBE geometry in Alexandria.
Neutral-atom scattering factors, no anomalous dispersion.

Structural model:
```
data_LaTb5Y6
_symmetry_space_group_name_H-M 'P 1'
_symmetry_Int_Tables_number 1
_cell_length_a 8.013
_cell_length_b 8.013
_cell_length_c 6.201
_cell_angle_alpha 97.49
_cell_angle_beta 97.49
_cell_angle_gamma 84.31
loop_
_symmetry_equiv_pos_as_xyz
'x,y,z'
loop_
_atom_site_label
_atom_site_fract_x
_atom_site_fract_y
_atom_site_fract_z
_atom_site_occupancy
La1 0.000 0.000 0.000 1
Tb1 0.169 0.831 0.500 1
Tb2 0.335 0.665 0.000 1
Tb3 0.500 0.500 0.500 1
Tb4 0.665 0.335 0.000 1
Tb5 0.831 0.169 0.500 1
Y1 0.084 0.418 0.250 1
Y2 0.251 0.251 0.749 1
Y3 0.418 0.084 0.250 1
Y4 0.582 0.916 0.750 1
Y5 0.749 0.749 0.251 1
Y6 0.916 0.582 0.750 1
```

Principal peaks in the range 5 to 70 degrees two-theta, by intensity:
30.57 deg, I = 100.0; 35.44 deg, I = 50.4; 50.99 deg, I = 35.4; 60.59 deg, I = 27.9; 60.69 deg, I = 13.9; 63.63 deg, I = 12.0

[3]
This entry pairs a crystal structure of La2Tb7Y2 with its simulated powder XRD pattern. Radiation: Cu Kα X-rays. Structure: the PBE geometry in Alexandria.
Neutral-atom scattering factors, no anomalous dispersion.

Structural model:
```
data_La2Tb7Y2
_symmetry_space_group_name_H-M 'P 1'
_symmetry_Int_Tables_number 1
_cell_length_a 6.631
_cell_length_b 6.735
_cell_length_c 8.994
_cell_angle_alpha 110.98
_cell_angle_beta 99.19
_cell_angle_gamma 95.49
loop_
_symmetry_equiv_pos_as_xyz
'x,y,z'
loop_
_atom_site_label
_atom_site_fract_x
_atom_site_fract_y
_atom_site_fract_z
_atom_site_occupancy
La1 0.219 0.177 0.071 1
La2 0.781 0.823 0.929 1
Tb1 0.000 0.500 0.500 1
Tb2 0.110 0.923 0.333 1
Tb3 0.379 0.931 0.714 1
Tb4 0.497 0.620 0.362 1
Tb5 0.503 0.380 0.638 1
Tb6 0.621 0.069 0.286 1
Tb7 0.890 0.077 0.667 1
Y1 0.250 0.610 0.949 1
Y2 0.750 0.390 0.051 1
```

Principal peaks in the range 5 to 70 degrees two-theta, by intensity:
31.85 deg, I = 100.0; 31.19 deg, I = 52.0; 30.90 deg, I = 42.9; 31.41 deg, I = 41.3; 30.32 deg, I = 40.7; 34.55 deg, I = 20.0